# 1
Structure and calculated X-ray diffraction stick pattern of HfCuSi2 (DFT lattice parameters and positions (PBE); Cu Kα, 1.54184 Å).

Structural model:
abc: 3.675 3.675 9.052
angles: 90.00 90.00 90.00
Space group P4/nmm (No. 129, origin choice 2)
Symmetry-distinct sites (fractional):
1 Hf 0.250 0.250 0.233 (multiplicity 2)
2 Cu 0.250 0.750 0.500 (multiplicity 2)
3 Si 0.250 0.250 0.674 (multiplicity 2)
4 Si 0.250 0.750 0.000 (multiplicity 2)

Peak list (10 most intense, 2θ from 10° to 80°, by angle)
| 2θ/deg | I (rel.) | h k l |
| --- | --- | --- |
| 19.6 | 14.6 | 0 0 2 |
| 26.2 | 82.1 | 1 0 1 |
| 38.6 | 36.1 | 1 0 3 |
| 39.8 | 19.2 | 0 0 4 |
| 40.0 | 100.0 | 1 1 2 |
| 49.6 | 29.6 | 2 0 0 |
| 56.7 | 13.3 | 1 0 5 |
| 56.9 | 20.0 | 2 1 1 |
| 64.6 | 16.2 | 2 1 3 |
| 65.4 | 17.3 | 2 0 4 |


# 2
Structure and calculated X-ray diffraction stick pattern of Hf5CuSn3 (DFT lattice parameters and positions (PBE); Cu Kα, 1.54184 Å).

Structural model:
abc: 8.5880 8.5880 5.8299
angles: 90.00 90.00 120.00
Space group P6_3/mcm (No. 193)
Symmetry-distinct sites (fractional):
1 Hf 0.0000 0.2626 0.2500 (multiplicity 6)
2 Hf 0.3333 0.6667 0.0000 (multiplicity 4)
3 Cu 0.0000 0.0000 0.0000 (multiplicity 2)
4 Sn 0.0000 0.3874 0.7500 (multiplicity 6)

Peak list (10 most intense, 2θ from 10° to 80°, by angle)
| 2θ/deg | I (rel.) | h k l |
| --- | --- | --- |
| 31.8 | 16.8 | 2 1 0 |
| 35.5 | 79.1 | 2 1 1 |
| 36.2 | 75.0 | 3 0 0 |
| 37.3 | 100.0 | 1 1 2 |
| 46.7 | 12.6 | 3 1 1 |
| 53.0 | 27.2 | 2 2 2 |
| 56.2 | 15.2 | 3 2 1 |
| 57.7 | 19.9 | 2 1 3 |
| 72.6 | 11.5 | 5 1 1 |
| 75.7 | 18.0 | 3 0 4 |


# 3
Structure and calculated X-ray diffraction stick pattern of Hf2CuTc (DFT lattice parameters and positions (PBE); Cu Kα, 1.54184 Å).

Structural model:
abc: 6.519 6.519 6.519
angles: 90.00 90.00 90.00
Space group Fm-3m (No. 225)
Symmetry-distinct sites (fractional):
1 Hf 0.250 0.250 0.250 (multiplicity 8)
2 Cu 0.000 0.000 0.000 (multiplicity 4)
3 Tc 0.000 0.000 0.500 (multiplicity 4)

Peak list (7 most intense, 2θ from 10° to 80°, by angle)
| 2θ/deg | I (rel.) | h k l |
| --- | --- | --- |
| 23.6 | 0.9 | 1 1 1 |
| 27.4 | 15.1 | 2 0 0 |
| 39.1 | 100.0 | 2 2 0 |
| 48.4 | 4.6 | 2 2 2 |
| 56.5 | 17.0 | 4 0 0 |
| 63.9 | 6.3 | 4 2 0 |
| 70.8 | 34.2 | 4 2 2 |


# 4
Structure and calculated X-ray diffraction stick pattern of HfCu2Te3 (DFT lattice parameters and positions (PBE); Cu Kα, 1.54184 Å).

Structural model:
abc: 20.436 4.080 7.325
angles: 90.00 98.47 90.00
Space group C2/m (No. 12)
Symmetry-distinct sites (fractional):
1 Hf 0.146 0.000 0.055 (multiplicity 4)
2 Cu 0.049 0.500 0.149 (multiplicity 4)
3 Cu 0.213 0.000 0.426 (multiplicity 4)
4 Te 0.081 0.500 0.820 (multiplicity 4)
5 Te 0.084 0.000 0.365 (multiplicity 4)
6 Te 0.249 0.500 0.214 (multiplicity 4)

Peak list (10 most intense, 2θ from 10° to 80°, by angle)
| 2θ/deg | I (rel.) | h k l |
| --- | --- | --- |
| 12.2 | 43.7 | 0 0 1 |
| 25.5 | 51.3 | 3 1 0 |
| 26.5 | 28.8 | 6 0 0 |
| 28.1 | 29.8 | 4 0 -2 |
| 29.2 | 100.0 | 3 1 1 |
| 38.7 | 33.8 | 7 1 -1 |
| 41.7 | 31.2 | 7 1 1 |
| 43.2 | 72.5 | 1 1 -3 |
| 44.4 | 42.6 | 0 2 0 |
| 46.2 | 27.7 | 9 1 -1 |


# 5
Structure and calculated X-ray diffraction stick pattern of Hf6Zn16Cu7 (DFT lattice parameters and positions (PBE); Cu Kα, 1.54184 Å).

Structural model:
abc: 12.063 12.063 12.063
angles: 90.00 90.00 90.00
Space group Fm-3m (No. 225)
Symmetry-distinct sites (fractional):
1 Hf 0.000 0.000 0.192 (multiplicity 24)
2 Zn 0.120 0.120 0.380 (multiplicity 32)
3 Zn 0.166 0.166 0.166 (multiplicity 32)
4 Cu 0.000 0.000 0.500 (multiplicity 4)
5 Cu 0.000 0.250 0.250 (multiplicity 24)

Peak list (10 most intense, 2θ from 10° to 80°, by angle)
| 2θ/deg | I (rel.) | h k l |
| --- | --- | --- |
| 32.3 | 23.3 | 3 3 1 |
| 36.5 | 33.5 | 4 2 2 |
| 38.8 | 100.0 | 3 3 3 |
| 42.4 | 74.3 | 4 4 0 |
| 45.1 | 23.3 | 6 0 0 |
| 58.8 | 12.9 | 7 3 1 |
| 65.7 | 27.5 | 6 6 0 |
| 67.2 | 14.0 | 5 5 5 |
| 71.7 | 12.7 | 8 4 2 |
| 79.0 | 21.5 | 9 3 3 |


# 6
Structure and calculated X-ray diffraction stick pattern of Cu7Hg6 (DFT lattice parameters and positions (PBE); Cu Kα, 1.54184 Å).

Structural model:
abc: 13.5898 13.5898 8.1896
angles: 90.00 90.00 120.00
Space group R3m (No. 160, hexagonal axes)
Symmetry-distinct sites (fractional):
1 Cu 0.0000 0.0000 0.0000 (multiplicity 3)
2 Cu 0.0000 0.0000 0.4990 (multiplicity 3)
3 Cu 0.0654 0.1308 0.2573 (multiplicity 9)
4 Cu 0.1068 0.2137 0.5647 (multiplicity 9)
5 Cu 0.1304 0.0652 0.7423 (multiplicity 9)
6 Cu 0.2135 0.1068 0.4360 (multiplicity 9)
7 Hg 0.0546 0.3340 0.3337 (multiplicity 18)
8 Hg 0.0981 0.5490 0.6023 (multiplicity 9)
9 Hg 0.2156 0.4313 0.7327 (multiplicity 9)

Peak list (10 most intense, 2θ from 10° to 80°, by angle)
| 2θ/deg | I (rel.) | h k l |
| --- | --- | --- |
| 29.5 | 29.2 | 1 3 1 |
| 29.7 | 30.6 | 1 2 2 |
| 32.8 | 22.6 | 0 0 3 |
| 35.0 | 75.9 | 3 2 1 |
| 39.8 | 100.0 | 3 3 0 |
| 40.0 | 91.4 | 2 3 2 |
| 40.2 | 89.7 | 3 0 3 |
| 44.3 | 26.2 | 5 1 1 |
| 59.9 | 18.6 | 0 5 4 |
| 72.6 | 20.0 | 3 6 3 |


# 7
Structure and calculated X-ray diffraction stick pattern of Cu7Hg6 (DFT lattice parameters and positions (PBE); Cu Kα, 1.54184 Å).

Structural model:
abc: 12.6449 12.6449 15.4266
angles: 90.00 90.00 120.00
Space group R3m (No. 160, hexagonal axes)
Symmetry-distinct sites (fractional):
1 Cu 0.0000 0.0000 0.0000 (multiplicity 3)
2 Cu 0.0000 0.0000 0.2545 (multiplicity 3)
3 Cu 0.0687 0.1374 0.3807 (multiplicity 9)
4 Cu 0.1090 0.2181 0.2237 (multiplicity 9)
5 Cu 0.1438 0.0719 0.1256 (multiplicity 9)
6 Cu 0.2162 0.1081 0.2847 (multiplicity 9)
7 Hg 0.0126 0.3709 0.4989 (multiplicity 18)
8 Hg 0.0704 0.5352 0.7122 (multiplicity 9)
9 Hg 0.2126 0.4252 0.6160 (multiplicity 9)

Peak list (10 most intense, 2θ from 10° to 80°, by angle)
| 2θ/deg | I (rel.) | h k l |
| --- | --- | --- |
| 14.0 | 23.5 | 1 1 0 |
| 22.3 | 43.4 | 1 1 3 |
| 30.0 | 100.0 | 3 0 3 |
| 33.3 | 50.5 | 2 0 5 |
| 36.3 | 19.3 | 1 2 5 |
| 37.7 | 26.7 | 2 3 2 |
| 41.7 | 39.4 | 0 5 1 |
| 42.9 | 72.9 | 3 3 0 |
| 43.0 | 55.1 | 0 3 6 |
| 67.1 | 19.1 | 5 3 5 |


# 8
Structure and calculated X-ray diffraction stick pattern of Cu7Hg6 (DFT lattice parameters and positions (PBE); Cu Kα, 1.54184 Å).

Structural model:
abc: 13.5595 13.5595 8.1689
angles: 90.00 90.00 120.00
Space group R3m (No. 160, hexagonal axes)
Symmetry-distinct sites (fractional):
1 Cu 0.0000 0.0000 0.0000 (multiplicity 3)
2 Cu 0.0000 0.0000 0.4965 (multiplicity 3)
3 Cu 0.0665 0.1329 0.2572 (multiplicity 9)
4 Cu 0.1073 0.2145 0.5649 (multiplicity 9)
5 Cu 0.1294 0.0647 0.7425 (multiplicity 9)
6 Cu 0.2156 0.1078 0.4356 (multiplicity 9)
7 Hg 0.0557 0.3382 0.3427 (multiplicity 18)
8 Hg 0.1008 0.5504 0.6084 (multiplicity 9)
9 Hg 0.2154 0.4309 0.7436 (multiplicity 9)

Peak list (10 most intense, 2θ from 10° to 80°, by angle)
| 2θ/deg | I (rel.) | h k l |
| --- | --- | --- |
| 26.6 | 18.6 | 2 0 2 |
| 29.5 | 30.3 | 1 3 1 |
| 29.7 | 29.6 | 1 2 2 |
| 32.9 | 20.7 | 0 0 3 |
| 35.1 | 71.4 | 3 2 1 |
| 39.9 | 100.0 | 3 3 0 |
| 40.1 | 85.2 | 2 3 2 |
| 40.3 | 91.0 | 3 0 3 |
| 44.4 | 25.1 | 5 1 1 |
| 72.7 | 20.2 | 3 6 3 |